Record 1
Computed X-ray diffraction stick pattern
Compound: RhN2
Radiation: λ = 1.5418 Å (Cu Kα)
Structure: the PBE geometry in the Materials Project
No peak broadening, texture or thermal motion is included.

Peak list (10 most intense, 2θ from 10° to 90°, sorted by position)
(hkl)  2theta  I/Imax
1 1 -1  28.74  1000
1 1 1  36.05  462
0 2 0  36.56  471
0 0 2  38.35  433
2 0 0  38.45  447
2 0 -2  45.25  201
2 2 0  54.06  532
1 1 -3  59.09  172
3 1 -1  59.24  180
2 2 -2  59.52  175

Atomic structure:
```
data_RhN2
_symmetry_space_group_name_H-M 'P 1 21/c 1'
_symmetry_Int_Tables_number 14
_cell_length_a 4.935
_cell_length_b 4.916
_cell_length_c 4.948
_cell_angle_alpha 90.00
_cell_angle_beta 108.42
_cell_angle_gamma 90.00
loop_
_symmetry_equiv_pos_as_xyz
'x,y,z'
'-x,-y,-z'
'-x,y+1/2,-z+1/2'
'x,-y+1/2,z+1/2'
loop_
_atom_site_label
_atom_site_fract_x
_atom_site_fract_y
_atom_site_fract_z
_atom_site_occupancy
Rh1 0.242 0.001 0.234 1
N1 0.191 0.086 0.804 1
N2 0.314 0.584 0.175 1
```



Record 2
Computed X-ray diffraction stick pattern
Compound: TbPrO4
Radiation: λ = 1.5418 Å (Cu Kα)
Structure: the PBE geometry in the Materials Project
No peak broadening, texture or thermal motion is included.

Peak list (10 most intense, 2θ from 10° to 90°, sorted by position)
(hkl)  2theta  I/Imax
0 1 2  27.59  1000
1 0 -2  30.42  111
0 2 0  32.22  101
1 0 2  33.20  95
1 2 -2  44.90  191
0 0 4  45.64  177
1 2 2  46.94  166
1 1 -4  52.34  161
0 3 2  54.67  150
1 1 4  55.95  137

Atomic structure:
```
data_TbPrO4
_symmetry_space_group_name_H-M 'P 1 21/m 1'
_symmetry_Int_Tables_number 11
_cell_length_a 3.986
_cell_length_b 5.557
_cell_length_c 7.987
_cell_angle_alpha 90.00
_cell_angle_beta 94.87
_cell_angle_gamma 90.00
loop_
_symmetry_equiv_pos_as_xyz
'x,y,z'
'-x,-y,-z'
'-x,y+1/2,-z'
'x,-y+1/2,z'
loop_
_atom_site_label
_atom_site_fract_x
_atom_site_fract_y
_atom_site_fract_z
_atom_site_occupancy
Tb1 0.225 0.250 0.128 1
Pr1 0.268 0.250 0.623 1
O1 0.230 0.009 0.363 1
O2 0.280 0.506 0.892 1
```



Record 3
Computed X-ray diffraction stick pattern
Compound: RbBaScSi3O9
Radiation: λ = 1.5418 Å (Cu Kα)
Structure: the PBE geometry in the Materials Project
No peak broadening, texture or thermal motion is included.

Peak list (10 most intense, 2θ from 10° to 90°, sorted by position)
(hkl)  2theta  I/Imax
2 0 -2  25.25  222
1 0 2  25.54  453
0 3 2  29.84  1000
2 2 -2  30.67  706
1 2 2  30.93  948
2 3 -4  39.52  144
3 0 -6  44.67  171
3 2 0  48.19  217
2 0 4  52.46  114
2 5 0  53.61  170

Atomic structure:
```
data_RbBaScSi3O9
_symmetry_space_group_name_H-M 'P 1 21/c 1'
_symmetry_Int_Tables_number 14
_cell_length_a 7.053
_cell_length_b 10.332
_cell_length_c 13.949
_cell_angle_alpha 90.00
_cell_angle_beta 120.33
_cell_angle_gamma 90.00
loop_
_symmetry_equiv_pos_as_xyz
'x,y,z'
'-x,-y,-z'
'-x,y+1/2,-z+1/2'
'x,-y+1/2,z+1/2'
loop_
_atom_site_label
_atom_site_fract_x
_atom_site_fract_y
_atom_site_fract_z
_atom_site_occupancy
Rb1 0.165 0.054 0.421 1
Ba1 0.171 0.059 0.912 1
Sc1 0.479 0.504 0.735 1
Si1 0.115 0.248 0.623 1
Si2 0.251 0.747 0.817 1
Si3 0.369 0.736 0.058 1
O1 0.008 0.247 0.206 1
O2 0.099 0.716 0.004 1
O3 0.195 0.108 0.112 1
O4 0.242 0.630 0.738 1
O5 0.277 0.127 0.654 1
O6 0.302 0.607 0.295 1
O7 0.409 0.707 0.950 1
O8 0.439 0.614 0.591 1
O9 0.498 0.125 0.353 1
```



Record 4
Computed X-ray diffraction stick pattern
Compound: Bi2Rh
Radiation: λ = 1.5418 Å (Cu Kα)
Structure: the PBE geometry in the Materials Project
No peak broadening, texture or thermal motion is included.

Peak list (10 most intense, 2θ from 10° to 90°, sorted by position)
(hkl)  2theta  I/Imax
1 1 1  27.57  177
0 0 2  28.45  202
1 2 -1  29.76  1000
0 1 2  31.31  469
2 1 0  31.47  484
1 1 -3  40.83  215
3 1 -1  41.09  243
1 3 1  46.51  394
3 1 -3  47.19  243
2 0 2  49.83  190

Atomic structure:
```
data_Bi2Rh
_symmetry_space_group_name_H-M 'P 1 21/c 1'
_symmetry_Int_Tables_number 14
_cell_length_a 7.021
_cell_length_b 6.926
_cell_length_c 7.064
_cell_angle_alpha 90.00
_cell_angle_beta 117.38
_cell_angle_gamma 90.00
loop_
_symmetry_equiv_pos_as_xyz
'x,y,z'
'-x,-y,-z'
'-x,y+1/2,-z+1/2'
'x,-y+1/2,z+1/2'
loop_
_atom_site_label
_atom_site_fract_x
_atom_site_fract_y
_atom_site_fract_z
_atom_site_occupancy
Bi1 0.146 0.141 0.369 1
Bi2 0.346 0.644 0.668 1
Rh1 0.271 0.002 0.784 1
```



Record 5
Computed X-ray diffraction stick pattern
Compound: Li5Nb2Cu3O10
Radiation: λ = 1.5418 Å (Cu Kα)
Structure: the PBE geometry in the Materials Project
No peak broadening, texture or thermal motion is included.

Peak list (10 most intense, 2θ from 10° to 90°, sorted by position)
(hkl)  2theta  I/Imax
0 0 1  12.41  403
0 1 -1  17.73  1000
1 0 0  18.64  462
1 -1 0  20.26  286
0 1 1  23.53  374
-1 2 1  35.92  936
1 0 -3  36.06  357
2 1 -2  43.90  474
1 -1 3  44.80  453
2 -3 2  58.27  292

Atomic structure:
```
data_Li5Nb2Cu3O10
_symmetry_space_group_name_H-M 'P -1'
_symmetry_Int_Tables_number 2
_cell_length_a 5.269
_cell_length_b 5.779
_cell_length_c 7.725
_cell_angle_alpha 100.86
_cell_angle_beta 105.62
_cell_angle_gamma 106.12
loop_
_symmetry_equiv_pos_as_xyz
'x,y,z'
'-x,-y,-z'
loop_
_atom_site_label
_atom_site_fract_x
_atom_site_fract_y
_atom_site_fract_z
_atom_site_occupancy
Li1 0.000 0.000 0.000 1
Li2 0.089 0.171 0.694 1
Li3 0.280 0.632 0.125 1
Nb1 0.391 0.774 0.797 1
Cu1 0.197 0.377 0.400 1
Cu2 0.500 0.000 0.500 1
O1 0.049 0.625 0.848 1
O2 0.168 0.853 0.569 1
O3 0.283 0.975 0.251 1
O4 0.361 0.158 0.949 1
O5 0.428 0.465 0.673 1
```